Diffraction record for LaPr2In2Ni4. The powder X-ray diffraction pattern is computed, not measured: it uses a cell relaxed with GGA-PBE and Cu Ka.
Intensities are scaled so that the largest is 100.

Peak list (6 most intense, 10° ≤ 2θ ≤ 80°, sorted by position)
2θ/deg	Rel. int.	hkl
29.78	66	1 1 -2
33.57	100	3 1 0
34.31	44	2 0 -3
36.02	43	4 0 -1
39.38	86	1 1 3
41.23	86	0 2 0

Crystal structure
```
data_LaPr2In2Ni4
_chemical_formula_sum 'La2 Pr4 In4 Ni8'
_cell_length_a 10.1545
_cell_length_b 4.3818
_cell_length_c 8.6476
_cell_angle_alpha 90.00
_cell_angle_beta 96.05
_cell_angle_gamma 90.00
_space_group_name_H-M_alt 'C 1 2/m 1'
_space_group_IT_number 12
loop_
_space_group_symop_operation_xyz
'x,y,z'
'-x,-y,-z'
'-x,y,-z'
'x,-y,z'
'x+1/2,y+1/2,z'
'-x+1/2,-y+1/2,-z'
'-x+1/2,y+1/2,-z'
'x+1/2,-y+1/2,z'
loop_
_atom_site_label
_atom_site_type_symbol
_atom_site_fract_x
_atom_site_fract_y
_atom_site_fract_z
La1 La 0.0000 0.0000 0.0000
Pr1 Pr 0.1292 0.5000 0.3829
In1 In 0.1757 0.5000 0.7788
Ni1 Ni 0.0753 0.0000 0.6221
Ni2 Ni 0.2363 0.5000 0.0799
```

Diffraction record for Tm2Al4NiIr. The powder X-ray diffraction pattern is computed, not measured: it uses a cell relaxed with GGA-PBE and Cu Ka.
Intensities are scaled so that the largest is 100.

Peak list (6 most intense, 10° ≤ 2θ ≤ 80°, sorted by position)
2θ/deg	Rel. int.	hkl
23.44	58	0 1 1
25.41	59	2 0 0
34.84	76	2 1 1
37.08	100	1 1 3
38.29	49	1 0 4
52.82	32	3 1 3

Crystal structure
```
data_Tm2Al4NiIr
_chemical_formula_sum 'Tm4 Al8 Ni2 Ir2'
_cell_length_a 7.0117
_cell_length_b 4.1033
_cell_length_c 9.9791
_cell_angle_alpha 90.00
_cell_angle_beta 90.00
_cell_angle_gamma 90.00
_space_group_name_H-M_alt 'A m m 2'
_space_group_IT_number 38
loop_
_space_group_symop_operation_xyz
'x,y,z'
'-x,-y,z'
'-x,y,z'
'x,-y,z'
'x,y+1/2,z+1/2'
'-x,-y+1/2,z+1/2'
'-x,y+1/2,z+1/2'
'x,-y+1/2,z+1/2'
loop_
_atom_site_label
_atom_site_type_symbol
_atom_site_fract_x
_atom_site_fract_y
_atom_site_fract_z
Tm1 Tm 0.0000 0.0000 0.0000
Tm2 Tm 0.5000 0.0000 0.1310
Al1 Al 0.1898 0.0000 0.7137
Al2 Al 0.2966 0.0000 0.4110
Ni1 Ni 0.0000 0.0000 0.2777
Ir1 Ir 0.5000 0.0000 0.8481
```